(1)
This entry pairs a crystal structure of Sc3Si3Ni2 with its computed XRD peak list. Radiation: copper Kα. Structure: the GGA-PBE geometry in the Materials Project.
No peak broadening, texture or thermal motion is included.

Cell and atoms:
```
data_Sc3Si3Ni2
_cell_length_a 3.9808
_cell_length_b 9.6715
_cell_length_c 13.0761
_cell_angle_alpha 90.00
_cell_angle_beta 90.00
_cell_angle_gamma 90.00
_space_group_name_H-M_alt 'C m c m'
_space_group_IT_number 63
_space_group_name_Hall '-C 2c 2'
loop_
_atom_site_label
_atom_site_type_symbol
_atom_site_fract_x
_atom_site_fract_y
_atom_site_fract_z
Sc1 Sc 0.0000 0.0827 0.1116
Sc2 Sc 0.0000 0.3615 0.2500
Si1 Si 0.0000 0.3404 0.7500
Si2 Si 0.0000 0.3835 0.0390
Ni1 Ni 0.0000 0.2080 0.5960
```

Top 10 peaks for 2θ = 10–80°, by angle:
18.3°, I 30.9, hkl 0 2 0; 31.8°, I 22.6, hkl 1 1 3; 36.5°, I 64.5, hkl 1 3 1; 36.8°, I 89.3, hkl 1 1 4; 37.8°, I 16.3, hkl 0 4 1; 41.4°, I 29.1, hkl 0 0 6; 41.6°, I 71.4, hkl 1 3 3; 42.8°, I 32.1, hkl 0 4 3; 45.6°, I 100.0, hkl 2 0 0; 64.3°, I 19.4, hkl 2 4 3

***

(2)
This entry pairs a crystal structure of ScSi3Ni with its computed XRD peak list. Radiation: copper Kα. Structure: the GGA-PBE geometry in the Materials Project.
No peak broadening, texture or thermal motion is included.

Cell and atoms:
```
data_ScSi3Ni
_cell_length_a 3.8634
_cell_length_b 20.7535
_cell_length_c 3.8200
_cell_angle_alpha 90.00
_cell_angle_beta 90.00
_cell_angle_gamma 90.00
_space_group_name_H-M_alt 'C m m m'
_space_group_IT_number 65
_space_group_name_Hall '-C 2 2'
loop_
_atom_site_label
_atom_site_type_symbol
_atom_site_fract_x
_atom_site_fract_y
_atom_site_fract_z
Sc1 Sc 0.0000 0.1696 0.0000
Si1 Si 0.0000 0.0574 0.5000
Si2 Si 0.0000 0.2817 0.5000
Si3 Si 0.0000 0.4429 0.0000
Ni1 Ni 0.0000 0.3878 0.5000
```

Top 10 peaks for 2θ = 10–80°, by angle:
17.1°, I 29.7, hkl 0 4 0; 31.6°, I 18.0, hkl 1 5 0; 35.0°, I 25.9, hkl 0 6 1; 35.5°, I 100.0, hkl 1 3 1; 45.8°, I 29.6, hkl 1 9 0; 47.0°, I 27.8, hkl 2 0 0; 47.6°, I 26.8, hkl 0 0 2; 52.0°, I 24.5, hkl 1 9 1; 68.2°, I 17.5, hkl 1 9 2; 69.2°, I 16.6, hkl 2 0 2

***

(3)
This entry pairs a crystal structure of ScNiSn with its computed XRD peak list. Radiation: copper Kα. Structure: the GGA-PBE geometry in the Materials Project.
No peak broadening, texture or thermal motion is included.

Cell and atoms:
```
data_ScNiSn
_cell_length_a 7.2178
_cell_length_b 7.2178
_cell_length_c 3.5541
_cell_angle_alpha 90.00
_cell_angle_beta 90.00
_cell_angle_gamma 120.00
_space_group_name_H-M_alt 'P -6 2 m'
_space_group_IT_number 189
_space_group_name_Hall 'P -6 -2'
loop_
_atom_site_label
_atom_site_type_symbol
_atom_site_fract_x
_atom_site_fract_y
_atom_site_fract_z
Sc1 Sc 0.0000 0.6055 0.0000
Ni1 Ni 0.0000 0.0000 0.0000
Ni2 Ni 0.3333 0.6667 0.5000
Sn1 Sn 0.0000 0.2707 0.5000
```

Top 10 peaks for 2θ = 10–80°, by angle:
24.7°, I 26.4, hkl 1 1 0; 25.1°, I 24.9, hkl 0 0 1; 35.4°, I 100.0, hkl 1 1 1; 38.1°, I 45.0, hkl 2 1 0; 38.4°, I 55.9, hkl 2 0 1; 43.4°, I 48.9, hkl 3 0 0; 46.1°, I 45.9, hkl 2 1 1; 51.4°, I 19.7, hkl 0 0 2; 69.5°, I 23.1, hkl 3 0 2; 70.9°, I 33.4, hkl 3 2 1

***

(4)
This entry pairs a crystal structure of ScNi4Sn with its computed XRD peak list. Radiation: copper Kα. Structure: the GGA-PBE geometry in the Materials Project.
No peak broadening, texture or thermal motion is included.

Cell and atoms:
```
data_ScNi4Sn
_cell_length_a 6.8993
_cell_length_b 6.8993
_cell_length_c 6.8993
_cell_angle_alpha 90.00
_cell_angle_beta 90.00
_cell_angle_gamma 90.00
_space_group_name_H-M_alt 'F -4 3 m'
_space_group_IT_number 216
_space_group_name_Hall 'F -4 2 3'
loop_
_atom_site_label
_atom_site_type_symbol
_atom_site_fract_x
_atom_site_fract_y
_atom_site_fract_z
Sc1 Sc 0.0000 0.0000 0.0000
Ni1 Ni 0.1251 0.1251 0.3749
Sn1 Sn 0.2500 0.2500 0.7500
```

Top 10 peaks for 2θ = 10–80°, by angle:
22.3°, I 8.8, hkl 1 1 1; 25.8°, I 8.9, hkl 2 0 0; 36.8°, I 34.5, hkl 2 2 0; 43.5°, I 100.0, hkl 3 1 1; 45.5°, I 33.1, hkl 2 2 2; 58.3°, I 2.3, hkl 3 3 1; 60.0°, I 4.1, hkl 4 2 0; 66.4°, I 12.3, hkl 4 2 2; 71.0°, I 29.8, hkl 5 1 1; 78.4°, I 23.1, hkl 4 4 0

***

(5)
This entry pairs a crystal structure of ScNiSn with its computed XRD peak list. Radiation: copper Kα. Structure: the GGA-PBE geometry in the Materials Project.
No peak broadening, texture or thermal motion is included.

Cell and atoms:
```
data_ScNiSn
_cell_length_a 6.6681
_cell_length_b 4.3674
_cell_length_c 7.5329
_cell_angle_alpha 90.00
_cell_angle_beta 90.00
_cell_angle_gamma 90.00
_space_group_name_H-M_alt 'P n m a'
_space_group_IT_number 62
loop_
_space_group_symop_operation_xyz
'x,y,z'
'-x,-y,-z'
'-x+1/2,-y,z+1/2'
'x+1/2,y,-z+1/2'
'x+1/2,-y+1/2,-z+1/2'
'-x+1/2,y+1/2,z+1/2'
'-x,y+1/2,-z'
'x,-y+1/2,z'
loop_
_atom_site_label
_atom_site_type_symbol
_atom_site_fract_x
_atom_site_fract_y
_atom_site_fract_z
Sc1 Sc 0.0107 0.2500 0.2084
Ni1 Ni 0.2088 0.7500 0.4161
Sn1 Sn 0.1982 0.2500 0.5871
```

Top 10 peaks for 2θ = 10–80°, by angle:
23.6°, I 26.7, hkl 0 1 1; 26.7°, I 30.2, hkl 2 0 0; 27.2°, I 28.9, hkl 1 0 2; 34.2°, I 27.9, hkl 1 1 2; 35.9°, I 100.0, hkl 2 1 1; 41.3°, I 43.1, hkl 0 2 0; 41.5°, I 76.0, hkl 0 1 3; 42.4°, I 28.2, hkl 3 0 1; 50.0°, I 28.3, hkl 2 1 3; 52.2°, I 19.4, hkl 3 1 2

***

(6)
This entry pairs a crystal structure of ZrScNi2Sn2 with its computed XRD peak list. Radiation: copper Kα. Structure: the GGA-PBE geometry in the Materials Project.
No peak broadening, texture or thermal motion is included.

Cell and atoms:
```
data_ZrScNi2Sn2
_cell_length_a 4.3610
_cell_length_b 4.3610
_cell_length_c 21.4039
_cell_angle_alpha 90.00
_cell_angle_beta 90.00
_cell_angle_gamma 120.00
_space_group_name_H-M_alt 'R 3 m'
_space_group_IT_number 160
_space_group_name_Hall 'R 3 -2"'
loop_
_atom_site_label
_atom_site_type_symbol
_atom_site_fract_x
_atom_site_fract_y
_atom_site_fract_z
Zr1 Zr 0.0000 0.0000 0.0000
Sc1 Sc 0.0000 0.0000 0.5014
Ni1 Ni 0.0000 0.0000 0.1250
Ni2 Ni 0.0000 0.0000 0.6265
Sn1 Sn 0.0000 0.0000 0.2507
Sn2 Sn 0.0000 0.0000 0.7512
```

Top 10 peaks for 2θ = 10–80°, by angle:
25.0°, I 26.9, hkl 0 0 6; 28.9°, I 31.4, hkl 1 0 4; 41.4°, I 100.0, hkl 1 1 0; 49.0°, I 13.6, hkl 1 1 6; 51.3°, I 8.8, hkl 0 2 4; 60.0°, I 16.4, hkl 2 0 8; 65.9°, I 2.9, hkl 0 1 14; 67.9°, I 11.9, hkl 2 1 4; 75.4°, I 8.3, hkl 1 0 16; 75.5°, I 24.9, hkl 3 0 0

***

(7)
This entry pairs a crystal structure of Zr4ScNi5Sn5 with its computed XRD peak list. Radiation: copper Kα. Structure: the GGA-PBE geometry in the Materials Project.
No peak broadening, texture or thermal motion is included.

Cell and atoms:
```
data_Zr4ScNi5Sn5
_cell_length_a 4.3802
_cell_length_b 4.3802
_cell_length_c 53.5633
_cell_angle_alpha 90.00
_cell_angle_beta 90.00
_cell_angle_gamma 120.00
_space_group_name_H-M_alt 'R 3 m'
_space_group_IT_number 160
_space_group_name_Hall 'R 3 -2"'
loop_
_atom_site_label
_atom_site_type_symbol
_atom_site_fract_x
_atom_site_fract_y
_atom_site_fract_z
Zr1 Zr 0.0000 0.0000 0.0000
Zr2 Zr 0.0000 0.0000 0.1999
Zr3 Zr 0.0000 0.0000 0.4001
Zr4 Zr 0.0000 0.0000 0.5999
Sc1 Sc 0.0000 0.0000 0.7995
Ni1 Ni 0.0000 0.0000 0.1503
Ni2 Ni 0.0000 0.0000 0.3497
Ni3 Ni 0.0000 0.0000 0.5499
Ni4 Ni 0.0000 0.0000 0.7494
Ni5 Ni 0.0000 0.0000 0.9499
Sn1 Sn 0.0000 0.0000 0.1000
Sn2 Sn 0.0000 0.0000 0.2997
Sn3 Sn 0.0000 0.0000 0.4996
Sn4 Sn 0.0000 0.0000 0.6997
Sn5 Sn 0.0000 0.0000 0.8998
```

Top 10 peaks for 2θ = 10–80°, by angle:
24.9°, I 19.7, hkl 0 0 15; 28.8°, I 35.0, hkl 1 0 10; 41.2°, I 100.0, hkl 1 1 0; 48.8°, I 9.7, hkl 1 1 15; 51.1°, I 9.8, hkl 0 2 10; 59.7°, I 16.5, hkl 2 0 20; 65.7°, I 4.0, hkl 0 1 35; 67.7°, I 13.2, hkl 2 1 10; 75.2°, I 25.1, hkl 3 0 0; 75.3°, I 8.3, hkl 1 0 40

***

(8)
This entry pairs a crystal structure of Sc2TcNi with its computed XRD peak list. Radiation: copper Kα. Structure: the GGA-PBE geometry in the Materials Project.
No peak broadening, texture or thermal motion is included.

Cell and atoms:
```
data_Sc2TcNi
_cell_length_a 6.4111
_cell_length_b 6.4111
_cell_length_c 6.4111
_cell_angle_alpha 90.00
_cell_angle_beta 90.00
_cell_angle_gamma 90.00
_space_group_name_H-M_alt 'F m -3 m'
_space_group_IT_number 225
_space_group_name_Hall '-F 4 2 3'
loop_
_atom_site_label
_atom_site_type_symbol
_atom_site_fract_x
_atom_site_fract_y
_atom_site_fract_z
Sc1 Sc 0.2500 0.2500 0.2500
Tc1 Tc 0.0000 0.0000 0.0000
Ni1 Ni 0.0000 0.0000 0.5000
```

Top 10 peaks for 2θ = 10–80°, by angle:
24.0°, I 5.0, hkl 1 1 1; 27.8°, I 11.7, hkl 2 0 0; 39.8°, I 100.0, hkl 2 2 0; 47.0°, I 2.5, hkl 3 1 1; 49.2°, I 3.4, hkl 2 2 2; 57.5°, I 15.9, hkl 4 0 0; 63.2°, I 1.1, hkl 3 3 1; 65.1°, I 4.5, hkl 4 2 0; 72.2°, I 30.8, hkl 4 2 2; 77.3°, I 0.8, hkl 5 1 1